1.
# Na7Tl3Hg
Computed powder diffractogram, Cu Kα, 1.54184 Å. Input: DFT lattice parameters and positions (PBE).
Kinematic intensities with the Lorentz-polarization factor, no thermal factor.

Most intense lines, 5° ≤ 2θ ≤ 70°, sorted by position:
2θ = 5.8°, rel. 95
2θ = 13.8°, rel. 99
2θ = 14.9°, rel. 47
2θ = 17.5°, rel. 56
2θ = 23.2°, rel. 92
2θ = 24.5°, rel. 100
2θ = 32.0°, rel. 100
2θ = 32.6°, rel. 41
2θ = 33.5°, rel. 92
2θ = 34.6°, rel. 48
2θ = 36.2°, rel. 46
2θ = 41.6°, rel. 45

Structure:
Unit cell a=15.354 b=15.354 c=11.874 alpha=90.00 beta=90.00 gamma=166.34
Fractional coordinates of all 22 atoms:
1 Na 0.028 0.972 0.614
2 Na 0.028 0.972 0.886
3 Na 0.138 0.862 0.250
4 Na 0.142 0.858 0.554
5 Na 0.142 0.858 0.946
6 Na 0.274 0.726 0.605
7 Na 0.274 0.726 0.895
8 Na 0.726 0.274 0.105
9 Na 0.726 0.274 0.395
10 Na 0.858 0.142 0.054
11 Na 0.858 0.142 0.446
12 Na 0.862 0.138 0.750
13 Na 0.972 0.028 0.114
14 Na 0.972 0.028 0.386
15 Tl 0.300 0.700 0.250
16 Tl 0.435 0.565 0.612
17 Tl 0.435 0.565 0.888
18 Tl 0.565 0.435 0.112
19 Tl 0.565 0.435 0.388
20 Tl 0.700 0.300 0.750
21 Hg 0.402 0.598 0.250
22 Hg 0.598 0.402 0.750

***

2.
# Na4TlHg
Computed powder diffractogram, Cu Kα, 1.54184 Å. Input: DFT lattice parameters and positions (PBE).
Kinematic intensities with the Lorentz-polarization factor, no thermal factor.

Most intense lines, 5° ≤ 2θ ≤ 70°, sorted by position:
2θ = 18.2°, rel. 100
2θ = 19.5°, rel. 36
2θ = 27.9°, rel. 55
2θ = 30.4°, rel. 21
2θ = 31.0°, rel. 27
2θ = 33.3°, rel. 43
2θ = 36.3°, rel. 62
2θ = 36.8°, rel. 15
2θ = 42.1°, rel. 37
2θ = 50.6°, rel. 19
2θ = 58.7°, rel. 16
2θ = 64.6°, rel. 16

Structure:
Unit cell a=5.773 b=3.419 c=9.121 alpha=90.00 beta=90.07 gamma=90.00
Fractional coordinates of all 6 atoms:
1 Na 0.001 0.000 0.191
2 Na 0.499 0.500 0.677
3 Na 0.501 0.500 0.323
4 Na 0.999 0.000 0.809
5 Tl 0.500 0.000 0.000
6 Hg 0.000 0.500 0.500

***

3.
# Na4TlHg3
Computed powder diffractogram, Cu Kα, 1.54184 Å. Input: DFT lattice parameters and positions (PBE).
Kinematic intensities with the Lorentz-polarization factor, no thermal factor.

Most intense lines, 5° ≤ 2θ ≤ 70°, sorted by position:
2θ = 21.6°, rel. 43
2θ = 24.8°, rel. 63
2θ = 33.1°, rel. 100
2θ = 35.3°, rel. 42
2θ = 41.8°, rel. 33
2θ = 50.8°, rel. 15
2θ = 51.2°, rel. 19
2θ = 55.9°, rel. 14
2θ = 57.4°, rel. 13
2θ = 57.7°, rel. 15
2θ = 62.0°, rel. 33
2θ = 69.5°, rel. 12

Structure:
Unit cell a=8.966 b=8.966 c=5.080 alpha=106.36 beta=106.36 gamma=32.92
Fractional coordinates of all 8 atoms:
1 Na 0.128 0.128 0.128
2 Na 0.372 0.372 0.372
3 Na 0.628 0.628 0.628
4 Na 0.872 0.872 0.872
5 Tl 0.000 0.000 0.500
6 Hg 0.249 0.249 0.749
7 Hg 0.500 0.500 0.000
8 Hg 0.751 0.751 0.251

***

4.
# Na2Tl7Hg
Computed powder diffractogram, Cu Kα, 1.54184 Å. Input: DFT lattice parameters and positions (PBE).
Kinematic intensities with the Lorentz-polarization factor, no thermal factor.

Most intense lines, 5° ≤ 2θ ≤ 70°, sorted by position:
2θ = 15.0°, rel. 100
2θ = 26.1°, rel. 47
2θ = 30.2°, rel. 93
2θ = 33.9°, rel. 57
2θ = 43.2°, rel. 71
2θ = 46.0°, rel. 31
2θ = 51.2°, rel. 23
2θ = 53.6°, rel. 25
2θ = 56.0°, rel. 14
2θ = 62.8°, rel. 12
2θ = 64.9°, rel. 18
2θ = 69.2°, rel. 9

Structure:
Unit cell a=8.373 b=8.373 c=8.373 alpha=60.00 beta=60.00 gamma=60.00
Fractional coordinates of all 10 atoms:
1 Na 0.250 0.250 0.250
2 Na 0.750 0.750 0.750
3 Tl 0.000 0.000 0.000
4 Tl 0.254 0.254 0.746
5 Tl 0.254 0.746 0.254
6 Tl 0.254 0.746 0.746
7 Tl 0.746 0.254 0.254
8 Tl 0.746 0.254 0.746
9 Tl 0.746 0.746 0.254
10 Hg 0.500 0.500 0.500

***

5.
# Na17Tl11Hg
Computed powder diffractogram, Cu Kα, 1.54184 Å. Input: DFT lattice parameters and positions (PBE).
Kinematic intensities with the Lorentz-polarization factor, no thermal factor.

Most intense lines, 5° ≤ 2θ ≤ 70°, sorted by position:
2θ = 10.5°, rel. 14
2θ = 18.2°, rel. 100
2θ = 18.2°, rel. 20
2θ = 25.8°, rel. 14
2θ = 31.7°, rel. 26
2θ = 31.8°, rel. 37
2θ = 35.0°, rel. 21
2θ = 35.2°, rel. 62
2θ = 38.3°, rel. 18
2θ = 38.4°, rel. 38
2θ = 45.5°, rel. 11
2θ = 54.1°, rel. 14

Structure:
Unit cell a=10.343 b=10.343 c=10.352 alpha=109.41 beta=109.41 gamma=109.24
Fractional coordinates of all 29 atoms:
1 Na 0.000 0.000 0.000
2 Na 0.000 0.000 0.337
3 Na 0.276 0.585 0.922
4 Na 0.306 0.306 0.058
5 Na 0.306 0.719 0.645
6 Na 0.337 0.337 0.672
7 Na 0.412 0.998 0.028
8 Na 0.415 0.690 0.337
9 Na 0.585 0.276 0.922
10 Na 0.588 0.588 0.614
11 Na 0.660 0.998 0.337
12 Na 0.690 0.415 0.337
13 Na 0.691 0.994 0.747
14 Na 0.719 0.306 0.645
15 Na 0.994 0.691 0.747
16 Na 0.998 0.412 0.028
17 Na 0.998 0.660 0.337
18 Tl 0.185 0.996 0.715
19 Tl 0.189 0.809 0.147
20 Tl 0.191 0.382 0.337
21 Tl 0.378 0.996 0.527
22 Tl 0.382 0.191 0.337
23 Tl 0.617 0.617 0.148
24 Tl 0.618 0.808 0.956
25 Tl 0.808 0.618 0.956
26 Tl 0.809 0.189 0.147
27 Tl 0.996 0.185 0.715
28 Tl 0.996 0.378 0.527
29 Hg 0.803 0.803 0.522

***

6.
# Na5Tl5Hg
Computed powder diffractogram, Cu Kα, 1.54184 Å. Input: DFT lattice parameters and positions (PBE).
Kinematic intensities with the Lorentz-polarization factor, no thermal factor.

Most intense lines, 5° ≤ 2θ ≤ 70°, sorted by position:
2θ = 7.9°, rel. 98
2θ = 16.6°, rel. 46
2θ = 18.4°, rel. 77
2θ = 23.0°, rel. 39
2θ = 28.9°, rel. 26
2θ = 29.1°, rel. 35
2θ = 31.9°, rel. 36
2θ = 33.1°, rel. 26
2θ = 33.5°, rel. 31
2θ = 37.2°, rel. 100
2θ = 37.8°, rel. 26
2θ = 60.4°, rel. 30

Structure:
Unit cell a=6.182 b=6.182 c=11.210 alpha=90.00 beta=90.00 gamma=120.00
Fractional coordinates of all 11 atoms:
1 Na 0.000 0.000 0.000
2 Na 0.333 0.667 0.322
3 Na 0.333 0.667 0.678
4 Na 0.667 0.333 0.208
5 Na 0.667 0.333 0.792
6 Tl 0.000 0.000 0.262
7 Tl 0.000 0.000 0.738
8 Tl 0.338 0.169 0.500
9 Tl 0.831 0.169 0.500
10 Tl 0.831 0.662 0.500
11 Hg 0.333 0.667 0.000

***

7.
# Na3Tl5Hg3
Computed powder diffractogram, Cu Kα, 1.54184 Å. Input: DFT lattice parameters and positions (PBE).
Kinematic intensities with the Lorentz-polarization factor, no thermal factor.

Most intense lines, 5° ≤ 2θ ≤ 70°, sorted by position:
2θ = 9.4°, rel. 50
2θ = 16.3°, rel. 53
2θ = 25.0°, rel. 86
2θ = 27.8°, rel. 100
2θ = 28.4°, rel. 85
2θ = 32.9°, rel. 89
2θ = 34.3°, rel. 53
2θ = 37.7°, rel. 69
2θ = 40.1°, rel. 57
2θ = 43.6°, rel. 93
2θ = 58.7°, rel. 41
2θ = 66.2°, rel. 60

Structure:
Unit cell a=10.896 b=10.896 c=3.212 alpha=90.00 beta=90.00 gamma=120.00
Fractional coordinates of all 11 atoms:
1 Na 0.000 0.595 0.000
2 Na 0.405 0.405 0.000
3 Na 0.595 0.000 0.000
4 Tl 0.000 0.332 0.500
5 Tl 0.332 0.000 0.500
6 Tl 0.333 0.667 0.500
7 Tl 0.667 0.333 0.500
8 Tl 0.668 0.668 0.500
9 Hg 0.000 0.834 0.500
10 Hg 0.166 0.166 0.500
11 Hg 0.834 0.000 0.500

***

8.
# Na4Tl2Hg9
Computed powder diffractogram, Cu Kα, 1.54184 Å. Input: DFT lattice parameters and positions (PBE).
Kinematic intensities with the Lorentz-polarization factor, no thermal factor.

Most intense lines, 5° ≤ 2θ ≤ 70°, sorted by position:
2θ = 19.7°, rel. 9
2θ = 20.4°, rel. 36
2θ = 33.1°, rel. 97
2θ = 34.4°, rel. 100
2θ = 40.6°, rel. 9
2θ = 43.8°, rel. 10
2θ = 47.5°, rel. 17
2θ = 48.5°, rel. 34
2θ = 58.2°, rel. 17
2θ = 60.8°, rel. 35
2θ = 61.6°, rel. 19
2θ = 69.4°, rel. 10

Structure:
Unit cell a=5.214 b=5.214 c=16.929 alpha=90.00 beta=90.00 gamma=120.00
Fractional coordinates of all 15 atoms:
1 Na 0.333 0.667 0.149
2 Na 0.333 0.667 0.372
3 Na 0.667 0.333 0.628
4 Na 0.667 0.333 0.851
5 Tl 0.333 0.667 0.751
6 Tl 0.667 0.333 0.249
7 Hg 0.000 0.000 0.095
8 Hg 0.000 0.000 0.285
9 Hg 0.000 0.000 0.500
10 Hg 0.000 0.000 0.715
11 Hg 0.000 0.000 0.905
12 Hg 0.333 0.667 0.563
13 Hg 0.333 0.667 0.952
14 Hg 0.667 0.333 0.048
15 Hg 0.667 0.333 0.437

***

9.
# Na6TlHg4
Computed powder diffractogram, Cu Kα, 1.54184 Å. Input: DFT lattice parameters and positions (PBE).
Kinematic intensities with the Lorentz-polarization factor, no thermal factor.

Most intense lines, 5° ≤ 2θ ≤ 70°, sorted by position:
2θ = 13.7°, rel. 25
2θ = 14.9°, rel. 38
2θ = 15.5°, rel. 100
2θ = 21.3°, rel. 35
2θ = 23.4°, rel. 34
2θ = 28.5°, rel. 53
2θ = 33.7°, rel. 31
2θ = 35.1°, rel. 26
2θ = 35.6°, rel. 32
2θ = 35.8°, rel. 62
2θ = 36.1°, rel. 57
2θ = 47.2°, rel. 21

Structure:
Unit cell a=7.654 b=7.654 c=8.167 alpha=120.80 beta=120.80 gamma=83.34
Fractional coordinates of all 11 atoms:
1 Na 0.000 0.000 0.000
2 Na 0.020 0.431 0.852
3 Na 0.314 0.314 0.593
4 Na 0.431 0.020 0.852
5 Na 0.492 0.849 0.230
6 Na 0.849 0.492 0.230
7 Tl 0.468 0.468 0.357
8 Hg 0.171 0.813 0.330
9 Hg 0.680 0.680 0.900
10 Hg 0.813 0.171 0.330
11 Hg 0.958 0.958 0.599

***

10.
# Na17TlHg11
Computed powder diffractogram, Cu Kα, 1.54184 Å. Input: DFT lattice parameters and positions (PBE).
Kinematic intensities with the Lorentz-polarization factor, no thermal factor.

Most intense lines, 5° ≤ 2θ ≤ 70°, sorted by position:
2θ = 10.7°, rel. 14
2θ = 18.6°, rel. 100
2θ = 21.5°, rel. 10
2θ = 26.4°, rel. 15
2θ = 32.5°, rel. 55
2θ = 36.0°, rel. 53
2θ = 36.1°, rel. 18
2θ = 39.3°, rel. 45
2θ = 39.4°, rel. 10
2θ = 46.6°, rel. 14
2θ = 55.5°, rel. 13
2θ = 57.9°, rel. 10

Structure:
Unit cell a=10.136 b=10.136 c=10.103 alpha=109.44 beta=109.44 gamma=109.55
Fractional coordinates of all 29 atoms:
1 Na 0.000 0.000 0.000
2 Na 0.001 0.310 0.591
3 Na 0.001 0.591 0.309
4 Na 0.004 0.004 0.335
5 Na 0.283 0.693 0.692
6 Na 0.309 0.594 0.000
7 Na 0.310 0.001 0.591
8 Na 0.333 0.999 0.999
9 Na 0.411 0.411 0.720
10 Na 0.411 0.723 0.412
11 Na 0.591 0.001 0.309
12 Na 0.594 0.309 0.000
13 Na 0.669 0.669 0.668
14 Na 0.693 0.283 0.692
15 Na 0.696 0.696 0.283
16 Na 0.723 0.411 0.412
17 Na 0.999 0.333 0.999
18 Tl 0.374 0.374 0.182
19 Hg 0.000 0.806 0.624
20 Hg 0.001 0.626 0.808
21 Hg 0.182 0.378 0.380
22 Hg 0.191 0.191 0.812
23 Hg 0.194 0.818 0.193
24 Hg 0.378 0.182 0.380
25 Hg 0.624 0.806 0.001
26 Hg 0.626 0.001 0.808
27 Hg 0.806 0.000 0.624
28 Hg 0.806 0.624 0.001
29 Hg 0.818 0.194 0.193

***

11.
# Na16Tl12Hg
Computed powder diffractogram, Cu Kα, 1.54184 Å. Input: DFT lattice parameters and positions (PBE).
Kinematic intensities with the Lorentz-polarization factor, no thermal factor.

Most intense lines, 5° ≤ 2θ ≤ 70°, sorted by position:
2θ = 18.1°, rel. 100
2θ = 18.3°, rel. 63
2θ = 21.0°, rel. 18
2θ = 31.7°, rel. 54
2θ = 31.9°, rel. 38
2θ = 35.1°, rel. 36
2θ = 35.2°, rel. 22
2θ = 35.3°, rel. 58
2θ = 38.3°, rel. 36
2θ = 38.4°, rel. 42
2θ = 54.2°, rel. 16
2θ = 56.5°, rel. 15

Structure:
Unit cell a=10.317 b=10.317 c=10.373 alpha=109.51 beta=109.51 gamma=108.99
Fractional coordinates of all 29 atoms:
1 Na 0.000 0.000 0.000
2 Na 0.265 0.571 0.571
3 Na 0.294 0.294 0.707
4 Na 0.311 0.708 0.299
5 Na 0.356 0.356 0.323
6 Na 0.404 0.992 0.681
7 Na 0.417 0.675 0.001
8 Na 0.571 0.265 0.571
9 Na 0.649 0.995 0.995
10 Na 0.675 0.417 0.001
11 Na 0.684 0.989 0.401
12 Na 0.708 0.311 0.299
13 Na 0.989 0.684 0.401
14 Na 0.990 0.990 0.658
15 Na 0.992 0.404 0.681
16 Na 0.995 0.649 0.995
17 Tl 0.181 0.372 0.988
18 Tl 0.186 0.991 0.372
19 Tl 0.188 0.797 0.798
20 Tl 0.368 0.984 0.175
21 Tl 0.372 0.181 0.988
22 Tl 0.601 0.601 0.789
23 Tl 0.615 0.810 0.622
24 Tl 0.797 0.188 0.798
25 Tl 0.808 0.808 0.169
26 Tl 0.810 0.615 0.622
27 Tl 0.984 0.368 0.175
28 Tl 0.991 0.186 0.372
29 Hg 0.624 0.624 0.301

***

12.
# Na4TlHg12
Computed powder diffractogram, Cu Kα, 1.54184 Å. Input: DFT lattice parameters and positions (PBE).
Kinematic intensities with the Lorentz-polarization factor, no thermal factor.

Most intense lines, 5° ≤ 2θ ≤ 70°, sorted by position:
2θ = 18.0°, rel. 67
2θ = 28.7°, rel. 15
2θ = 31.5°, rel. 100
2θ = 34.1°, rel. 29
2θ = 36.5°, rel. 70
2θ = 38.8°, rel. 23
2θ = 41.0°, rel. 16
2θ = 43.1°, rel. 30
2θ = 45.1°, rel. 12
2θ = 52.6°, rel. 37
2θ = 62.6°, rel. 24
2θ = 64.2°, rel. 19

Structure:
Unit cell a=8.526 b=8.526 c=8.526 alpha=109.47 beta=109.47 gamma=109.47
Fractional coordinates of all 17 atoms:
1 Na 0.000 0.000 0.500
2 Na 0.000 0.500 0.000
3 Na 0.500 0.000 0.000
4 Na 0.500 0.500 0.500
5 Tl 0.000 0.000 0.000
6 Hg 0.000 0.305 0.305
7 Hg 0.000 0.695 0.695
8 Hg 0.250 0.500 0.750
9 Hg 0.250 0.750 0.500
10 Hg 0.305 0.000 0.305
11 Hg 0.305 0.305 0.000
12 Hg 0.500 0.250 0.750
13 Hg 0.500 0.750 0.250
14 Hg 0.695 0.000 0.695
15 Hg 0.695 0.695 0.000
16 Hg 0.750 0.250 0.500
17 Hg 0.750 0.500 0.250